# Ba5Ti4MoO15
Calculated powder XRD pattern, Cu Ka. Input: the GGA+U geometry in Alexandria.
No peak broadening, texture or thermal motion is included.

Structural model:
a = 14.6720 Å, b = 14.6720 Å, c = 4.0432 Å
α = 90.00°, β = 90.00°, γ = 157.44°
Sites, in units of the cell vectors:
1 Ba 0.0000 0.0000 0.0000
2 Ba 0.2005 0.7995 0.0000
3 Ba 0.3972 0.6028 0.0000
4 Ba 0.6028 0.3972 0.0000
5 Ba 0.7995 0.2005 0.0000
6 Ti 0.1009 0.8991 0.5000
7 Ti 0.2995 0.7005 0.5000
8 Ti 0.7005 0.2995 0.5000
9 Ti 0.8991 0.1009 0.5000
10 Mo 0.5000 0.5000 0.5000
11 O 0.0000 0.5000 0.5000
12 O 0.0999 0.4020 0.5000
13 O 0.1012 0.8988 0.0000
14 O 0.1930 0.2972 0.5000
15 O 0.2972 0.1930 0.5000
16 O 0.2995 0.7005 0.0000
17 O 0.4020 0.0999 0.5000
18 O 0.5000 0.0000 0.5000
19 O 0.5000 0.5000 0.0000
20 O 0.5980 0.9001 0.5000
21 O 0.7005 0.2995 0.0000
22 O 0.7028 0.8070 0.5000
23 O 0.8070 0.7028 0.5000
24 O 0.8988 0.1012 0.0000
25 O 0.9001 0.5980 0.5000

Main lines, low angle first (10 to 90 degrees two-theta):
d [Å], I_rel
4.064, 12
2.874, 50
2.866, 100
2.342, 29
2.032, 34
2.022, 17
1.659, 19
1.656, 29
1.434, 25
1.284, 12